# NbH12N3O8
Theoretical powder XRD pattern, Cu Kα (weighted mean of Kα1 and Kα2). Input: a cell relaxed with PBE.
Lines closer than 0.1° are merged.

Structure:
```
24
Lattice="-3.540 3.540 4.214 3.540 -3.540 4.214 3.540 3.540 -4.214" Properties=species:S:1:pos:R:3 pbc="T T T"
Nb 0.000 0.000 0.000
H 2.743 -0.301 1.525
H 3.841 -0.797 2.689
H 4.337 0.301 1.525
H 0.613 -0.613 3.651
H 3.239 0.797 2.689
H 2.927 2.927 0.563
H -0.613 0.613 3.651
H -0.301 2.743 1.525
H 0.613 0.613 4.777
H 0.797 3.239 2.689
H 0.301 4.337 1.525
H -0.797 3.841 2.689
N 3.540 0.000 2.107
N 0.000 0.000 4.214
N 0.000 3.540 2.107
O 2.554 2.554 -2.737
O 2.060 -2.060 4.075
O 1.480 1.480 0.139
O 0.987 0.987 1.477
O 0.987 -0.987 6.952
O -2.060 2.060 4.075
O 2.060 2.060 4.353
O 2.554 4.527 2.737
```

Main lines, sorted by position (10° ≤ 2θ ≤ 80°):
- d = 5.421 Å, 16.4°, intensity 100
- d = 5.007 Å, 17.7°, intensity 38
- d = 4.214 Å, 21.1°, intensity 11
- d = 3.224 Å, 27.7°, intensity 44
- d = 2.964 Å, 30.1°, intensity 20
- d = 2.503 Å, 35.9°, intensity 19
- d = 2.152 Å, 42.0°, intensity 13
- d = 1.977 Å, 45.9°, intensity 21
- d = 1.913 Å, 47.5°, intensity 15
- d = 1.611 Å, 57.2°, intensity 14

# NdH10S3N3O11
Theoretical powder XRD pattern, Cu Kα (weighted mean of Kα1 and Kα2). Input: a cell relaxed with PBE.
Lines closer than 0.1° are merged.

Structure:
```
56
Lattice="8.029 0.000 0.000 -0.386 9.256 0.000 -0.863 -4.355 8.238" Properties=species:S:1:pos:R:3 pbc="T T T"
Nd 1.417 2.589 1.821
Nd 5.363 2.312 6.417
H 0.324 7.582 2.550
H 0.601 -0.570 5.153
H 0.750 0.858 6.017
H 2.057 -0.361 1.194
H 1.509 -3.926 8.053
H 1.852 6.868 2.694
H 1.704 -0.811 7.306
H 2.039 3.966 6.364
H 2.111 5.451 5.619
H 2.984 -1.196 8.200
H 3.796 6.097 0.038
H 4.669 -0.550 2.619
H 4.741 0.935 1.873
H 5.076 5.712 0.931
H 4.927 -1.967 5.543
H 5.271 8.827 0.184
H 4.723 5.262 7.044
H 6.030 4.043 2.221
H 6.179 5.471 3.085
H 6.455 -2.681 5.688
S 0.235 4.374 5.107
S 0.801 6.212 0.833
S 2.588 0.420 4.813
S 4.192 4.481 3.425
S 5.978 -1.311 7.405
S 6.545 0.527 3.131
N 1.176 7.296 2.045
N 1.239 0.009 5.716
N 1.495 4.802 6.126
N 5.284 0.099 2.112
N 5.540 4.892 2.522
N 5.604 -2.395 6.193
O -0.783 -1.828 7.937
O -0.645 3.570 5.974
O -0.339 5.636 4.666
O 0.626 4.867 1.430
O 0.764 3.541 4.011
O 1.057 1.907 8.137
O 2.263 0.530 0.793
O 2.158 0.935 3.502
O 2.003 -1.253 8.149
O 3.361 -0.801 4.692
O 3.216 1.476 5.632
O 3.564 3.425 2.606
O 3.419 5.702 3.546
O 4.777 6.154 0.089
O 4.622 3.966 4.736
O 4.517 4.371 7.444
O 5.723 2.994 0.101
O 6.016 1.360 4.227
O 6.154 0.034 6.808
O 7.119 -0.735 3.571
O 7.425 1.331 2.264
O 7.563 6.729 0.301
```

Main lines, sorted by position (10° ≤ 2θ ≤ 80°):
- d = 8.183 Å, 10.8°, intensity 100
- d = 7.956 Å, 11.1°, intensity 30
- d = 6.121 Å, 14.5°, intensity 72
- d = 4.362 Å, 20.4°, intensity 33
- d = 3.978 Å, 22.3°, intensity 37
- d = 3.788 Å, 23.5°, intensity 35
- d = 3.600 Å, 24.7°, intensity 53
- d = 3.515 Å, 25.3°, intensity 50
- d = 3.451 Å, 25.8°, intensity 28
- d = 1.904 Å, 47.8°, intensity 25